No. 1
# NaUAgBr6
Calculated powder diffraction line list, CuKα. Input: DFT lattice parameters and positions (PBE).
Kinematic intensities with the Lorentz-polarization factor, no thermal factor.

The 12 most intense peaks (5° ≤ 2θ ≤ 70°), in order of rising 2θ:
2θ (°)	I (rel.)	h k l
13.0	43	0 0 2
14.3	26	1 0 0
15.7	18	1 0 1
19.4	35	1 0 2
28.2	100	1 1 2
36.4	69	1 1 4
40.8	12	2 1 2
43.9	39	3 0 0
45.9	11	3 0 2
47.4	26	2 -1 6
53.0	16	4 -2 2
58.3	17	4 -2 4

Lattice parameters (Å, degrees): 7.1500 7.1500 13.6408 90.00 90.00 120.00
Space group P-31c (No. 163)
One atom of each set of equivalent atoms:
Na (0.0000, 0.0000, 0.0000) [2 per cell]
U (0.3333, 0.6667, 0.2500) [2 per cell]
Ag (0.3333, 0.6667, 0.7500) [2 per cell]
Br (0.0128, 0.3543, 0.1292) [12 per cell]

No. 2
# Ba8PtN2
Calculated powder diffraction line list, CuKα. Input: DFT lattice parameters and positions (PBE).
Kinematic intensities with the Lorentz-polarization factor, no thermal factor.

The 12 most intense peaks (5° ≤ 2θ ≤ 70°), in order of rising 2θ:
2θ (°)	I (rel.)	h k l
10.8	62	2 0 0
24.2	35	4 0 -4
24.5	81	2 0 2
24.9	100	4 2 -2
25.2	15	6 0 -2
32.3	26	2 2 -4
32.9	14	6 2 -4
33.3	14	8 0 -4
37.7	18	0 4 0
37.9	37	6 2 0
42.5	17	4 2 -6
45.5	18	2 4 2

Lattice parameters (Å, degrees): 21.671 9.542 14.746 90.00 130.80 90.00
Space group C2/c (No. 15)
One atom of each set of equivalent atoms:
Ba (0.058, 0.238, 0.174) [8 per cell]
Ba (0.087, 0.241, 0.702) [8 per cell]
Ba (0.153, 0.038, 0.523) [8 per cell]
Ba (0.156, 0.465, 0.540) [8 per cell]
Pt (0.000, 0.010, 0.750) [4 per cell]
N (0.086, 0.253, 0.528) [8 per cell]

No. 3
# AcMnSi2Mo
Calculated powder diffraction line list, CuKα. Input: DFT lattice parameters and positions (PBE).
Kinematic intensities with the Lorentz-polarization factor, no thermal factor.

The 12 most intense peaks (5° ≤ 2θ ≤ 70°), in order of rising 2θ:
2θ (°)	I (rel.)	h k l
22.8	67	1 0 1
31.7	22	0 0 4
32.1	61	1 0 3
34.4	100	1 1 2
43.6	34	2 0 0
45.7	22	1 0 5
49.7	18	2 1 1
54.9	19	2 0 4
55.1	27	2 1 3
58.2	22	1 1 6
63.3	11	2 2 0
65.0	16	2 1 5

Lattice parameters (Å, degrees): 4.153 4.153 11.296 90.00 90.00 90.00
Space group I-4m2 (No. 119)
One atom of each set of equivalent atoms:
Ac (0.000, 0.000, 0.000) [2 per cell]
Mn (0.000, 0.500, 0.250) [2 per cell]
Si (0.000, 0.000, 0.373) [4 per cell]
Mo (0.000, 0.500, 0.750) [2 per cell]

No. 4
# K3SnBi
Calculated powder diffraction line list, CuKα. Input: DFT lattice parameters and positions (PBE).
Kinematic intensities with the Lorentz-polarization factor, no thermal factor.

The 12 most intense peaks (5° ≤ 2θ ≤ 70°), in order of rising 2θ:
2θ (°)	I (rel.)	h k l
13.6	44	1 1 0
14.1	100	2 0 0
14.9	37	0 1 1
18.5	24	0 0 2
20.5	36	2 1 1
26.2	42	1 2 1
27.4	47	2 2 0
28.3	48	4 0 0
30.4	43	0 1 3
33.6	65	2 1 3
37.5	30	1 2 3
42.0	36	4 1 3

Lattice parameters (Å, degrees): 12.605 7.601 9.569 90.00 90.00 90.00
Space group Ima2 (No. 46)
One atom of each set of equivalent atoms:
K (0.017, 0.249, 0.000) [8 per cell]
K (0.250, 0.054, 0.252) [4 per cell]
Sn (0.250, 0.569, 0.095) [4 per cell]
Bi (0.250, 0.583, 0.409) [4 per cell]

No. 5
# HfP2O7
Calculated powder diffraction line list, CuKα. Input: DFT lattice parameters and positions (PBE).
Kinematic intensities with the Lorentz-polarization factor, no thermal factor.

The 12 most intense peaks (5° ≤ 2θ ≤ 70°), in order of rising 2θ:
2θ (°)	I (rel.)	h k l
12.3	23	0 1 1
17.0	43	0 2 1
19.3	15	1 0 0
21.3	100	1 2 -1
21.7	46	0 1 2
23.7	14	1 2 0
27.2	15	0 4 0
31.9	19	0 1 3
33.6	49	1 3 -3
36.0	15	1 1 2
37.4	14	0 3 3
50.0	16	1 5 2

Lattice parameters (Å, degrees): 5.425 13.111 10.194 90.00 122.11 90.00
Space group P2_1/c (No. 14)
One atom of each set of equivalent atoms:
Hf (0.088, 0.147, 0.340) [4 per cell]
P (0.314, 0.692, 0.566) [4 per cell]
P (0.452, 0.027, 0.697) [4 per cell]
O (0.126, 0.739, 0.620) [4 per cell]
O (0.147, 0.677, 0.392) [4 per cell]
O (0.220, 0.543, 0.187) [4 per cell]
O (0.308, 0.032, 0.305) [4 per cell]
O (0.326, 0.112, 0.576) [4 per cell]
O (0.396, 0.578, 0.635) [4 per cell]
O (0.403, 0.250, 0.374) [4 per cell]

No. 6
# Sc4Al3Ir
Calculated powder diffraction line list, CuKα. Input: DFT lattice parameters and positions (PBE).
Kinematic intensities with the Lorentz-polarization factor, no thermal factor.

The 12 most intense peaks (5° ≤ 2θ ≤ 70°), in order of rising 2θ:
2θ (°)	I (rel.)	h k l
9.6	85	0 0 1
19.1	18	0 1 0
19.3	17	0 0 2
21.4	30	0 1 1
27.4	14	1 0 1
33.6	16	1 1 1
37.8	100	1 1 2
38.7	23	0 2 0
39.3	30	0 0 4
44.0	15	1 1 3
56.3	20	0 2 4
69.5	16	1 3 2

Lattice parameters (Å, degrees): 3.479 4.648 9.178 90.00 90.00 90.00
Space group Pmmm (No. 47)
One atom of each set of equivalent atoms:
Sc (0.000, 0.000, 0.000) [1 per cell]
Sc (0.000, 0.000, 0.500) [1 per cell]
Sc (0.000, 0.500, 0.237) [2 per cell]
Al (0.500, 0.000, 0.249) [2 per cell]
Al (0.500, 0.500, 0.500) [1 per cell]
Ir (0.500, 0.500, 0.000) [1 per cell]

No. 7
# Na3Li12Ag
Calculated powder diffraction line list, CuKα. Input: DFT lattice parameters and positions (PBE).
Kinematic intensities with the Lorentz-polarization factor, no thermal factor.

The 12 most intense peaks (5° ≤ 2θ ≤ 70°), in order of rising 2θ:
2θ (°)	I (rel.)	h k l
5.2	100	0 0 1
10.4	22	0 0 2
19.5	33	1 0 0
20.2	20	1 0 1
20.8	14	0 0 4
22.1	14	1 0 2
27.7	14	1 1 0
28.7	24	1 0 4
34.9	31	1 1 4
39.6	12	2 0 0
49.6	10	2 1 4
68.8	9	3 1 4

Lattice parameters (Å, degrees): 4.557 4.557 17.059 90.00 90.00 90.00
Space group P4/mmm (No. 123)
One atom of each set of equivalent atoms:
Na (0.000, 0.000, 0.000) [1 per cell]
Na (0.000, 0.000, 0.270) [2 per cell]
Li (0.000, 0.500, 0.134) [4 per cell]
Li (0.000, 0.500, 0.401) [4 per cell]
Li (0.500, 0.500, 0.000) [1 per cell]
Li (0.500, 0.500, 0.264) [2 per cell]
Li (0.500, 0.500, 0.500) [1 per cell]
Ag (0.000, 0.000, 0.500) [1 per cell]

No. 8
# Sm5Pd2Rh2
Calculated powder diffraction line list, CuKα. Input: DFT lattice parameters and positions (PBE).
Kinematic intensities with the Lorentz-polarization factor, no thermal factor.

The 12 most intense peaks (5° ≤ 2θ ≤ 70°), in order of rising 2θ:
2θ (°)	I (rel.)	h k l
26.0	19	0 2 1
31.7	83	3 1 2
33.0	38	0 2 2
33.5	73	4 2 0
34.2	27	5 1 1
35.5	73	4 2 1
36.0	18	6 0 0
37.6	100	1 3 1
40.0	23	5 1 2
48.3	20	5 1 3
53.4	19	0 2 4
68.4	27	3 5 2

Lattice parameters (Å, degrees): 14.961 7.681 7.663 90.00 90.00 90.00
Space group Cmce (No. 64)
One atom of each set of equivalent atoms:
Sm (0.000, 0.000, 0.000) [4 per cell]
Sm (0.134, 0.172, 0.333) [16 per cell]
Pd (0.206, 0.000, 0.000) [8 per cell]
Rh (0.000, 0.133, 0.632) [8 per cell]

No. 9
# K3Rb3O
Calculated powder diffraction line list, CuKα. Input: DFT lattice parameters and positions (PBE).
Kinematic intensities with the Lorentz-polarization factor, no thermal factor.

The 12 most intense peaks (5° ≤ 2θ ≤ 70°), in order of rising 2θ:
2θ (°)	I (rel.)	h k l
11.9	50	2 0 0
18.5	33	3 1 0
21.2	82	2 2 1
21.7	34	2 4 0
23.4	85	3 0 1
23.9	33	4 0 0
24.4	100	1 4 1
25.7	32	2 5 0
29.1	27	3 5 0
30.3	62	0 0 2
39.8	42	6 1 1
40.4	28	1 8 1

Lattice parameters (Å, degrees): 14.870 19.570 5.899 90.00 90.00 90.00
Space group Pnnm (No. 58)
One atom of each set of equivalent atoms:
K (0.111, 0.006, 0.000) [4 per cell]
K (0.113, 0.203, 0.000) [4 per cell]
K (0.149, 0.814, 0.000) [4 per cell]
Rb (0.005, 0.885, 0.500) [4 per cell]
Rb (0.079, 0.630, 0.500) [4 per cell]
Rb (0.154, 0.444, 0.000) [4 per cell]
O (0.008, 0.892, 0.000) [4 per cell]

No. 10
# CuPd2Pt6
Calculated powder diffraction line list, CuKα. Input: DFT lattice parameters and positions (PBE).
Kinematic intensities with the Lorentz-polarization factor, no thermal factor.

The 12 most intense peaks (5° ≤ 2θ ≤ 70°), in order of rising 2θ:
2θ (°)	I (rel.)	h k l
12.4	19	0 0 3
25.0	13	0 0 6
37.9	98	0 0 9
38.1	21	1 0 1
40.0	19	1 0 3
41.6	52	1 0 4
43.6	100	1 0 5
45.9	7	1 0 6
51.5	9	1 0 8
54.6	29	1 0 9
65.5	9	1 0 12
68.5	31	1 1 0

Lattice parameters (Å, degrees): 2.7410 2.7410 21.3981 90.00 90.00 120.00
Space group P-6m2 (No. 187)
One atom of each set of equivalent atoms:
Cu (0.0000, 0.0000, 0.0000) [1 per cell]
Pd (0.3333, 0.6667, 0.3272) [2 per cell]
Pt (0.0000, 0.0000, 0.2160) [2 per cell]
Pt (0.0000, 0.0000, 0.4380) [2 per cell]
Pt (0.3333, 0.6667, 0.1012) [2 per cell]

No. 11
# HoTm4Si4
Calculated powder diffraction line list, CuKα. Input: DFT lattice parameters and positions (PBE).
Kinematic intensities with the Lorentz-polarization factor, no thermal factor.

The 12 most intense peaks (5° ≤ 2θ ≤ 70°), in order of rising 2θ:
2θ (°)	I (rel.)	h k l
14.0	15	1 1 0
21.1	18	1 1 1
27.3	100	2 1 1
31.7	90	1 3 0
32.4	29	2 2 1
33.2	51	1 0 2
35.5	23	3 1 1
39.7	17	2 3 1
44.1	25	3 0 2
45.4	31	4 2 0
53.2	22	1 4 2
53.8	23	5 0 1

Lattice parameters (Å, degrees): 8.936 8.936 5.666 90.00 90.00 90.00
Space group P4_2/n (No. 86, origin choice 2)
One atom of each set of equivalent atoms:
Ho (0.250, 0.250, 0.250) [2 per cell]
Tm (0.086, 0.652, 0.128) [8 per cell]
Si (0.029, 0.608, 0.629) [8 per cell]